Structure and theoretical powder diffraction line list of BiMo2AsF (a cell relaxed with GGA+U; Cu Kα).
Neutral-atom scattering factors, no anomalous dispersion.

Structural model:
a = 5.6220 Å, b = 5.6220 Å, c = 4.3947 Å
α = 90.00°, β = 90.00°, γ = 90.00°
Space group P4/mmm (No. 123)
Symmetry-distinct sites (fractional):
Bi 0.0000 0.0000 0.0000 (multiplicity 1)
Mo 0.0000 0.5000 0.0000 (multiplicity 2)
As 0.5000 0.5000 0.5000 (multiplicity 1)
F 0.0000 0.0000 0.5000 (multiplicity 1)

Peak list (8 most intense, 10 to 90 degrees two-theta, by angle)
| h k l | 2theta | intensity |
| --- | --- | --- |
| 1 0 0 | 15.8 | 46 |
| 0 0 1 | 20.2 | 56 |
| 1 0 1 | 25.7 | 94 |
| 2 0 0 | 31.8 | 100 |
| 2 0 1 | 38.0 | 46 |
| 2 1 1 | 41.4 | 55 |
| 2 2 0 | 45.6 | 36 |
| 2 0 2 | 52.9 | 47 |